[1]
The following is a theoretical X-ray powder pattern of EuCo9Si2. It was derived from the GGA-PBE geometry in the Materials Project, using CuKα.

The 12 most intense peaks (2θ from 15° to 90°), in order of falling intensity:
40.9°, I 100, hkl 3 1 2; 41.4°, I 74, hkl 4 2 0; 48.9°, I 29, hkl 5 0 1; 36.2°, I 28, hkl 3 2 1; 44.0°, I 27, hkl 1 0 3; 75.2°, I 26, hkl 5 5 2; 31.1°, I 18, hkl 1 1 2; 50.9°, I 17, hkl 4 2 2; 31.0°, I 17, hkl 3 0 1; 25.9°, I 17, hkl 2 2 0; 47.1°, I 16, hkl 4 0 2; 40.8°, I 14, hkl 4 1 1

Crystal structure
a = 9.743 Å, b = 9.743 Å, c = 6.319 Å
α = 90.00°, β = 90.00°, γ = 90.00°
Space group I4_1/amd (No. 141, origin choice 2)
Inequivalent atoms, fractional coordinates:
Eu: 0.000 0.250 0.375 [4 per cell]
Co: 0.000 0.250 0.875 [4 per cell]
Co: 0.124 0.045 0.686 [32 per cell]
Si: 0.000 0.000 0.000 [8 per cell]


[2]
The following is a theoretical X-ray powder pattern of FeCo. It was derived from the GGA-PBE geometry in the Materials Project, using CuKα.

The 7 most intense peaks (2θ from 15° to 90°), in order of falling intensity:
45.2°, I 100, hkl 1 1 1; 44.9°, I 20, hkl 0 2 0; 83.5°, I 17, hkl 2 0 2; 65.6°, I 12, hkl 0 2 2; 83.0°, I 12, hkl 1 3 1; 65.9°, I 6, hkl 2 0 0; 83.3°, I 6, hkl 2 2 0

Crystal structure
a = 2.836 Å, b = 4.036 Å, c = 4.010 Å
α = 90.00°, β = 90.00°, γ = 90.00°
Space group Cmmm (No. 65)
Inequivalent atoms, fractional coordinates:
Fe: 0.000 0.000 0.000 [2 per cell]
Co: 0.000 0.500 0.500 [2 per cell]


[3]
The following is a theoretical X-ray powder pattern of Fe5Co3. It was derived from the GGA-PBE geometry in the Materials Project, using CuKα.

The 3 most intense peaks (2θ from 15° to 90°), in order of falling intensity:
46.3°, I 100, hkl 2 2 0; 85.9°, I 29, hkl 4 2 2; 67.6°, I 15, hkl 4 0 0

Crystal structure
a = 5.542 Å, b = 5.542 Å, c = 5.542 Å
α = 90.00°, β = 90.00°, γ = 90.00°
Space group Im-3m (No. 229)
Inequivalent atoms, fractional coordinates:
Fe: 0.000 0.000 0.000 [2 per cell]
Fe: 0.250 0.250 0.250 [8 per cell]
Co: 0.000 0.000 0.500 [6 per cell]